# 1
Starting from a PBE-relaxed structure, the powder diffractogram of Ho3Ni4Sn2Ge2 was calculated for Cu Kα X-rays.
Neutral-atom scattering factors, no anomalous dispersion.

Cell and atoms:
```
data_Ho3Ni4Sn2Ge2
_chemical_formula_sum 'Ho6 Ni8 Sn4 Ge4'
_symmetry_space_group_name_H-M 'I m m m'
_symmetry_Int_Tables_number 71
_symmetry_space_group_name_Hall '-I 2 2'
_cell_length_a 4.249
_cell_length_b 6.717
_cell_length_c 14.140
_cell_angle_alpha 90.00
_cell_angle_beta 90.00
_cell_angle_gamma 90.00
loop_
_atom_site_label
_atom_site_type_symbol
_atom_site_fract_x
_atom_site_fract_y
_atom_site_fract_z
Ho1 Ho 0.000 0.000 0.000
Ho2 Ho 0.000 0.500 0.125
Ni1 Ni 0.000 0.312 0.341
Sn1 Sn 0.000 0.000 0.220
Ge1 Ge 0.000 0.191 0.500
```

Principal peaks in the range 10° ≤ 2θ ≤ 90°, in order of rising 2θ:
2θ = 26.5°, d 3.358, rel. 16.2, (0 2 0)
2θ = 34.4°, d 2.606, rel. 28.3, (0 1 5)
2θ = 34.6°, d 2.590, rel. 74.6, (1 2 1)
2θ = 35.6°, d 2.519, rel. 100.0, (1 1 4)
2θ = 42.6°, d 2.125, rel. 32.6, (2 0 0)
2θ = 44.8°, d 2.022, rel. 17.1, (0 3 3)
2θ = 52.1°, d 1.755, rel. 11.9, (0 3 5)
2θ = 55.8°, d 1.647, rel. 14.4, (2 1 5)
2θ = 63.5°, d 1.465, rel. 11.7, (2 3 3)
2θ = 69.5°, d 1.353, rel. 10.2, (2 3 5)
2θ = 73.4°, d 1.290, rel. 12.3, (3 1 4)
2θ = 79.6°, d 1.204, rel. 14.8, (1 5 4)

***

# 2
Starting from a PBE-relaxed structure, the powder diffractogram of Ho2GeO5 was calculated for Cu Kα X-rays.
Neutral-atom scattering factors, no anomalous dispersion.

Cell and atoms:
```
data_Ho2GeO5
_chemical_formula_sum 'Ho8 Ge4 O20'
_symmetry_space_group_name_H-M 'P 1 21/c 1'
_symmetry_Int_Tables_number 14
_cell_length_a 9.191
_cell_length_b 6.968
_cell_length_c 6.690
_cell_angle_alpha 90.00
_cell_angle_beta 104.16
_cell_angle_gamma 90.00
loop_
_symmetry_equiv_pos_as_xyz
'x,y,z'
'-x,-y,-z'
'-x,y+1/2,-z+1/2'
'x,-y+1/2,z+1/2'
loop_
_atom_site_label
_atom_site_type_symbol
_atom_site_fract_x
_atom_site_fract_y
_atom_site_fract_z
Ho1 Ho 0.027 0.127 0.229
Ho2 Ho 0.362 0.137 0.032
Ge1 Ge 0.303 0.594 0.020
O1 O 0.107 0.638 0.994
O2 O 0.109 0.116 0.927
O3 O 0.282 0.083 0.317
O4 O 0.390 0.695 0.481
O5 O 0.395 0.068 0.711
```

Principal peaks in the range 10° ≤ 2θ ≤ 90°, in order of rising 2θ:
2θ = 16.1°, d 5.489, rel. 26.8, (1 1 0)
2θ = 26.9°, d 3.320, rel. 28.4, (1 0 -2)
2θ = 29.1°, d 3.069, rel. 44.6, (0 2 1)
2θ = 29.8°, d 2.994, rel. 46.3, (2 0 -2)
2θ = 30.1°, d 2.971, rel. 67.6, (3 0 0)
2θ = 31.6°, d 2.833, rel. 44.2, (1 0 2)
2θ = 31.9°, d 2.804, rel. 100.0, (1 2 1)
2θ = 32.6°, d 2.750, rel. 24.7, (2 1 -2)
2θ = 33.5°, d 2.677, rel. 57.8, (2 2 -1)
2θ = 44.9°, d 2.021, rel. 23.4, (3 2 1)
2θ = 48.5°, d 1.878, rel. 48.4, (1 2 -3)
2θ = 58.2°, d 1.586, rel. 20.9, (2 2 3)

***

# 3
Starting from a PBE-relaxed structure, the powder diffractogram of Ho2Ge2O7 was calculated for Cu Kα X-rays.
Neutral-atom scattering factors, no anomalous dispersion.

Cell and atoms:
```
data_Ho2Ge2O7
_chemical_formula_sum 'Ho4 Ge4 O14'
_symmetry_space_group_name_H-M 'P 1'
_symmetry_Int_Tables_number 1
_cell_length_a 6.686
_cell_length_b 6.687
_cell_length_c 6.815
_cell_angle_alpha 86.06
_cell_angle_beta 64.80
_cell_angle_gamma 86.02
loop_
_symmetry_equiv_pos_as_xyz
'x,y,z'
loop_
_atom_site_label
_atom_site_type_symbol
_atom_site_fract_x
_atom_site_fract_y
_atom_site_fract_z
Ho1 Ho 0.000 0.000 0.000
Ho2 Ho 0.023 0.689 0.498
Ho3 Ho 0.493 0.941 0.501
Ho4 Ho 0.566 0.409 0.147
Ge1 Ge 0.003 0.189 0.498
Ge2 Ge 0.118 0.521 0.968
Ge3 Ge 0.530 0.877 0.016
Ge4 Ge 0.552 0.442 0.645
O1 O 0.035 0.711 0.148
O2 O 0.124 0.014 0.631
O3 O 0.177 0.378 0.344
O4 O 0.233 0.607 0.691
O5 O 0.383 0.972 0.868
O6 O 0.389 0.419 0.933
O7 O 0.396 0.735 0.267
O8 O 0.524 0.279 0.473
O9 O 0.618 0.067 0.132
O10 O 0.678 0.664 0.519
O11 O 0.776 0.729 0.884
O12 O 0.786 0.329 0.701
O13 O 0.907 0.012 0.381
O14 O 0.934 0.329 0.043
```

Principal peaks in the range 10° ≤ 2θ ≤ 90°, in order of rising 2θ:
2θ = 19.7°, d 4.508, rel. 27.1, (1 1 1)
2θ = 26.3°, d 3.384, rel. 32.3, (1 0 2)
2θ = 26.8°, d 3.330, rel. 33.0, (0 2 0)
2θ = 29.0°, d 3.080, rel. 68.0, (0 0 2)
2θ = 29.6°, d 3.022, rel. 100.0, (2 0 0)
2θ = 29.9°, d 2.984, rel. 49.5, (0 2 1)
2θ = 30.0°, d 2.974, rel. 54.9, (1 2 0)
2θ = 31.2°, d 2.865, rel. 32.0, (1 -2 0)
2θ = 31.5°, d 2.841, rel. 49.3, (2 0 2)
2θ = 32.2°, d 2.777, rel. 44.1, (1 -2 1)
2θ = 33.3°, d 2.693, rel. 35.9, (2 1 2)
2θ = 36.7°, d 2.451, rel. 22.3, (-1 2 1)

***

# 4
Starting from a PBE-relaxed structure, the powder diffractogram of Ho5Ge10Os4 was calculated for Cu Kα X-rays.
Neutral-atom scattering factors, no anomalous dispersion.

Cell and atoms:
```
data_Ho5Ge10Os4
_chemical_formula_sum 'Ho10 Ge20 Os8'
_symmetry_space_group_name_H-M 'P 4/m b m'
_symmetry_Int_Tables_number 127
_symmetry_space_group_name_Hall '-P 4 2ab'
_cell_length_a 13.072
_cell_length_b 13.072
_cell_length_c 4.303
_cell_angle_alpha 90.00
_cell_angle_beta 90.00
_cell_angle_gamma 90.00
loop_
_atom_site_label
_atom_site_type_symbol
_atom_site_fract_x
_atom_site_fract_y
_atom_site_fract_z
Ho1 Ho 0.000 0.000 0.000
Ho2 Ho 0.117 0.383 0.500
Ho3 Ho 0.172 0.672 0.500
Ge1 Ge 0.008 0.842 0.500
Ge2 Ge 0.068 0.568 0.000
Ge3 Ge 0.164 0.198 0.000
Os1 Os 0.018 0.753 0.000
```

Principal peaks in the range 10° ≤ 2θ ≤ 90°, in order of rising 2θ:
2θ = 19.2°, d 4.622, rel. 22.9, (2 2 0)
2θ = 32.3°, d 2.773, rel. 26.9, (3 2 1)
2θ = 34.5°, d 2.602, rel. 100.0, (4 0 1)
2θ = 35.0°, d 2.564, rel. 23.4, (5 1 0)
2θ = 35.2°, d 2.552, rel. 33.4, (4 1 1)
2θ = 35.8°, d 2.505, rel. 75.1, (3 3 1)
2θ = 39.0°, d 2.311, rel. 22.1, (4 4 0)
2θ = 42.0°, d 2.151, rel. 73.9, (0 0 2)
2θ = 43.8°, d 2.067, rel. 23.9, (6 2 0)
2θ = 48.9°, d 1.863, rel. 19.3, (6 2 1)
2θ = 67.7°, d 1.384, rel. 24.0, (8 4 1)
2θ = 71.9°, d 1.313, rel. 20.4, (4 0 3)

***

# 5
Starting from a PBE-relaxed structure, the powder diffractogram of SmHoGe2Os was calculated for Cu Kα X-rays.
Neutral-atom scattering factors, no anomalous dispersion.

Cell and atoms:
```
data_SmHoGe2Os
_chemical_formula_sum 'Sm4 Ho4 Ge8 Os4'
_symmetry_space_group_name_H-M 'C 1 2/m 1'
_symmetry_Int_Tables_number 12
_cell_length_a 10.842
_cell_length_b 4.322
_cell_length_c 10.230
_cell_angle_alpha 90.00
_cell_angle_beta 118.13
_cell_angle_gamma 90.00
loop_
_symmetry_equiv_pos_as_xyz
'x,y,z'
'-x,-y,-z'
'-x,y,-z'
'x,-y,z'
'x+1/2,y+1/2,z'
'-x+1/2,-y+1/2,-z'
'-x+1/2,y+1/2,-z'
'x+1/2,-y+1/2,z'
loop_
_atom_site_label
_atom_site_type_symbol
_atom_site_fract_x
_atom_site_fract_y
_atom_site_fract_z
Sm1 Sm 0.187 0.000 0.113
Ho1 Ho 0.001 0.000 0.672
Ge1 Ge 0.008 0.500 0.871
Ge2 Ge 0.142 0.500 0.562
Os1 Os 0.231 0.500 0.372
```

Principal peaks in the range 10° ≤ 2θ ≤ 90°, in order of rising 2θ:
2θ = 27.0°, d 3.301, rel. 20.0, (1 1 -2)
2θ = 32.5°, d 2.758, rel. 23.2, (3 1 -1)
2θ = 33.0°, d 2.717, rel. 100.0, (1 1 2)
2θ = 33.1°, d 2.705, rel. 21.9, (4 0 -2)
2θ = 33.8°, d 2.651, rel. 21.8, (1 1 -3)
2θ = 36.4°, d 2.468, rel. 55.6, (3 1 -3)
2θ = 37.6°, d 2.390, rel. 15.4, (4 0 0)
2θ = 40.0°, d 2.254, rel. 91.4, (0 0 4)
2θ = 41.8°, d 2.161, rel. 44.6, (0 2 0)
2θ = 59.2°, d 1.560, rel. 27.4, (0 2 4)
2θ = 63.9°, d 1.458, rel. 21.5, (7 1 -3)
2θ = 71.4°, d 1.322, rel. 13.3, (1 1 6)

***

# 6
Starting from a PBE-relaxed structure, the powder diffractogram of HoTmGe2Os was calculated for Cu Kα X-rays.
Neutral-atom scattering factors, no anomalous dispersion.

Cell and atoms:
```
data_HoTmGe2Os
_chemical_formula_sum 'Ho4 Tm4 Ge8 Os4'
_symmetry_space_group_name_H-M 'C 1 2/m 1'
_symmetry_Int_Tables_number 12
_cell_length_a 10.674
_cell_length_b 4.283
_cell_length_c 10.044
_cell_angle_alpha 90.00
_cell_angle_beta 117.87
_cell_angle_gamma 90.00
loop_
_symmetry_equiv_pos_as_xyz
'x,y,z'
'-x,-y,-z'
'-x,y,-z'
'x,-y,z'
'x+1/2,y+1/2,z'
'-x+1/2,-y+1/2,-z'
'-x+1/2,y+1/2,-z'
'x+1/2,-y+1/2,z'
loop_
_atom_site_label
_atom_site_type_symbol
_atom_site_fract_x
_atom_site_fract_y
_atom_site_fract_z
Ho1 Ho 0.184 0.000 0.115
Tm1 Tm 0.003 0.000 0.674
Ge1 Ge 0.014 0.500 0.875
Ge2 Ge 0.141 0.500 0.561
Os1 Os 0.231 0.500 0.368
```

Principal peaks in the range 10° ≤ 2θ ≤ 90°, in order of rising 2θ:
2θ = 27.4°, d 3.259, rel. 20.2, (1 1 -2)
2θ = 32.9°, d 2.724, rel. 22.5, (3 1 -1)
2θ = 33.4°, d 2.682, rel. 100.0, (1 1 2)
2θ = 34.3°, d 2.613, rel. 22.5, (1 1 -3)
2θ = 37.0°, d 2.430, rel. 55.6, (3 1 -3)
2θ = 40.5°, d 2.226, rel. 47.7, (3 1 1)
2θ = 40.6°, d 2.220, rel. 24.4, (0 0 4)
2θ = 40.8°, d 2.213, rel. 15.4, (4 0 -4)
2θ = 42.2°, d 2.141, rel. 44.3, (0 2 0)
2θ = 60.1°, d 1.540, rel. 25.4, (0 2 4)
2θ = 64.9°, d 1.436, rel. 20.4, (7 1 -3)
2θ = 73.7°, d 1.286, rel. 14.0, (3 3 -3)

***

# 7
Starting from a PBE-relaxed structure, the powder diffractogram of YHoGe4Os2 was calculated for Cu Kα X-rays.
Neutral-atom scattering factors, no anomalous dispersion.

Cell and atoms:
```
data_YHoGe4Os2
_chemical_formula_sum 'Y1 Ho1 Ge4 Os2'
_symmetry_space_group_name_H-M 'P 1 m 1'
_symmetry_Int_Tables_number 6
_cell_length_a 4.442
_cell_length_b 4.449
_cell_length_c 8.278
_cell_angle_alpha 90.00
_cell_angle_beta 104.66
_cell_angle_gamma 90.00
loop_
_symmetry_equiv_pos_as_xyz
'x,y,z'
'x,-y,z'
loop_
_atom_site_label
_atom_site_type_symbol
_atom_site_fract_x
_atom_site_fract_y
_atom_site_fract_z
Y1 Y 0.000 0.000 0.000
Ho1 Ho 0.758 0.500 0.582
Ge1 Ge 0.061 0.500 0.302
Ge2 Ge 0.340 0.000 0.706
Ge3 Ge 0.420 0.500 0.877
Ge4 Ge 0.705 0.000 0.283
Os1 Os 0.278 0.000 0.409
Os2 Os 0.488 0.500 0.175
```

Principal peaks in the range 10° ≤ 2θ ≤ 90°, in order of rising 2θ:
2θ = 11.0°, d 8.009, rel. 100.0, (0 0 1)
2θ = 28.9°, d 3.091, rel. 36.1, (1 1 0)
2θ = 29.0°, d 3.078, rel. 63.7, (1 1 -1)
2θ = 30.0°, d 2.976, rel. 40.9, (0 1 2)
2θ = 32.9°, d 2.722, rel. 66.1, (1 1 1)
2θ = 34.3°, d 2.618, rel. 28.9, (1 0 2)
2θ = 34.8°, d 2.579, rel. 61.9, (1 0 -3)
2θ = 39.4°, d 2.289, rel. 60.8, (0 1 3)
2θ = 40.6°, d 2.223, rel. 97.6, (0 2 0)
2θ = 45.7°, d 1.987, rel. 29.2, (2 1 -1)
2θ = 54.1°, d 1.695, rel. 22.4, (1 2 2)
2θ = 54.5°, d 1.684, rel. 34.4, (1 2 -3)

***

# 8
Starting from a PBE-relaxed structure, the powder diffractogram of HoGe3Pd4 was calculated for Cu Kα X-rays.
Neutral-atom scattering factors, no anomalous dispersion.

Cell and atoms:
```
data_HoGe3Pd4
_chemical_formula_sum 'Ho1 Ge3 Pd4'
_symmetry_space_group_name_H-M 'P 1 m 1'
_symmetry_Int_Tables_number 6
_cell_length_a 5.591
_cell_length_b 4.233
_cell_length_c 5.984
_cell_angle_alpha 90.00
_cell_angle_beta 93.89
_cell_angle_gamma 90.00
loop_
_symmetry_equiv_pos_as_xyz
'x,y,z'
'x,-y,z'
loop_
_atom_site_label
_atom_site_type_symbol
_atom_site_fract_x
_atom_site_fract_y
_atom_site_fract_z
Ho1 Ho 0.000 0.000 0.000
Ge1 Ge 0.193 0.000 0.490
Ge2 Ge 0.440 0.500 0.138
Ge3 Ge 0.718 0.500 0.666
Pd1 Pd 0.196 0.500 0.755
Pd2 Pd 0.522 0.000 0.824
Pd3 Pd 0.617 0.000 0.334
Pd4 Pd 0.973 0.500 0.326
```

Principal peaks in the range 10° ≤ 2θ ≤ 90°, in order of rising 2θ:
2θ = 29.9°, d 2.988, rel. 51.8, (1 1 -1)
2θ = 31.0°, d 2.886, rel. 40.3, (1 1 1)
2θ = 32.1°, d 2.789, rel. 27.3, (2 0 0)
2θ = 34.6°, d 2.595, rel. 32.7, (2 0 -1)
2θ = 36.5°, d 2.464, rel. 31.9, (2 0 1)
2θ = 36.8°, d 2.440, rel. 71.9, (0 1 2)
2θ = 38.7°, d 2.329, rel. 29.0, (2 1 0)
2θ = 39.5°, d 2.282, rel. 83.0, (1 1 -2)
2θ = 40.8°, d 2.213, rel. 100.0, (2 1 -1)
2θ = 41.2°, d 2.191, rel. 99.9, (1 1 2)
2θ = 42.5°, d 2.129, rel. 50.4, (2 1 1)
2θ = 42.7°, d 2.116, rel. 93.4, (0 2 0)

***

# 9
Starting from a PBE-relaxed structure, the powder diffractogram of HoGePd was calculated for Cu Kα X-rays.
Neutral-atom scattering factors, no anomalous dispersion.

Cell and atoms:
```
data_HoGePd
_chemical_formula_sum 'Ho12 Ge12 Pd12'
_symmetry_space_group_name_H-M 'I m m 2'
_symmetry_Int_Tables_number 44
_cell_length_a 4.396
_cell_length_b 20.944
_cell_length_c 7.619
_cell_angle_alpha 90.00
_cell_angle_beta 90.00
_cell_angle_gamma 90.00
loop_
_symmetry_equiv_pos_as_xyz
'x,y,z'
'-x,-y,z'
'-x,y,z'
'x,-y,z'
'x+1/2,y+1/2,z+1/2'
'-x+1/2,-y+1/2,z+1/2'
'-x+1/2,y+1/2,z+1/2'
'x+1/2,-y+1/2,z+1/2'
loop_
_atom_site_label
_atom_site_type_symbol
_atom_site_fract_x
_atom_site_fract_y
_atom_site_fract_z
Ho1 Ho 0.000 0.000 0.000
Ho2 Ho 0.000 0.167 0.077
Ho3 Ho 0.000 0.333 0.000
Ho4 Ho 0.000 0.500 0.084
Ge1 Ge 0.000 0.065 0.381
Ge2 Ge 0.000 0.236 0.698
Ge3 Ge 0.000 0.406 0.380
Pd1 Pd 0.000 0.104 0.708
Pd2 Pd 0.000 0.267 0.369
Pd3 Pd 0.000 0.428 0.712
```

Principal peaks in the range 10° ≤ 2θ ≤ 90°, in order of rising 2θ:
2θ = 23.4°, d 3.808, rel. 9.9, (1 0 1)
2θ = 33.7°, d 2.661, rel. 21.4, (1 3 2)
2θ = 34.9°, d 2.573, rel. 100.0, (1 6 1)
2θ = 40.5°, d 2.226, rel. 10.7, (0 9 1)
2θ = 41.1°, d 2.198, rel. 61.3, (2 0 0)
2θ = 54.9°, d 1.671, rel. 21.1, (2 6 2)
2θ = 59.1°, d 1.564, rel. 6.9, (2 9 1)
2θ = 67.0°, d 1.397, rel. 12.1, (1 9 4)
2θ = 68.7°, d 1.367, rel. 10.9, (2 12 0)
2θ = 70.8°, d 1.330, rel. 15.7, (3 6 1)
2θ = 74.8°, d 1.269, rel. 7.4, (3 0 3)
2θ = 75.7°, d 1.256, rel. 6.7, (1 15 2)

***

# 10
Starting from a PBE-relaxed structure, the powder diffractogram of SmHo2Ge4Pd4 was calculated for Cu Kα X-rays.
Neutral-atom scattering factors, no anomalous dispersion.

Cell and atoms:
```
data_SmHo2Ge4Pd4
_chemical_formula_sum 'Sm2 Ho4 Ge8 Pd8'
_symmetry_space_group_name_H-M 'I m m m'
_symmetry_Int_Tables_number 71
_symmetry_space_group_name_Hall '-I 2 2'
_cell_length_a 4.174
_cell_length_b 7.156
_cell_length_c 14.025
_cell_angle_alpha 90.00
_cell_angle_beta 90.00
_cell_angle_gamma 90.00
loop_
_atom_site_label
_atom_site_type_symbol
_atom_site_fract_x
_atom_site_fract_y
_atom_site_fract_z
Sm1 Sm 0.000 0.000 0.000
Ho1 Ho 0.000 0.500 0.126
Ge1 Ge 0.000 0.000 0.219
Ge2 Ge 0.000 0.185 0.500
Pd1 Pd 0.000 0.298 0.324
```

Principal peaks in the range 10° ≤ 2θ ≤ 90°, in order of rising 2θ:
2θ = 33.6°, d 2.667, rel. 100.0, (1 2 1)
2θ = 34.3°, d 2.612, rel. 29.5, (0 1 5)
2θ = 35.7°, d 2.514, rel. 87.1, (1 1 4)
2θ = 38.3°, d 2.349, rel. 27.2, (1 2 3)
2θ = 38.5°, d 2.337, rel. 16.8, (0 0 6)
2θ = 38.7°, d 2.328, rel. 13.0, (1 0 5)
2θ = 42.5°, d 2.125, rel. 35.2, (0 3 3)
2θ = 43.4°, d 2.087, rel. 40.1, (2 0 0)
2θ = 46.5°, d 1.951, rel. 15.2, (1 2 5)
2θ = 56.4°, d 1.630, rel. 14.1, (2 1 5)
2θ = 62.4°, d 1.489, rel. 22.4, (2 3 3)
2θ = 75.2°, d 1.263, rel. 15.0, (1 5 4)

***

# 11
Starting from a PBE-relaxed structure, the powder diffractogram of Ho4TlGe4Pd2 was calculated for Cu Kα X-rays.
Neutral-atom scattering factors, no anomalous dispersion.

Cell and atoms:
```
data_Ho4TlGe4Pd2
_chemical_formula_sum 'Ho8 Tl2 Ge8 Pd4'
_symmetry_space_group_name_H-M 'C 1 2/m 1'
_symmetry_Int_Tables_number 12
_cell_length_a 15.940
_cell_length_b 4.233
_cell_length_c 7.196
_cell_angle_alpha 90.00
_cell_angle_beta 107.77
_cell_angle_gamma 90.00
loop_
_symmetry_equiv_pos_as_xyz
'x,y,z'
'-x,-y,-z'
'-x,y,-z'
'x,-y,z'
'x+1/2,y+1/2,z'
'-x+1/2,-y+1/2,-z'
'-x+1/2,y+1/2,-z'
'x+1/2,-y+1/2,z'
loop_
_atom_site_label
_atom_site_type_symbol
_atom_site_fract_x
_atom_site_fract_y
_atom_site_fract_z
Ho1 Ho 0.087 0.000 0.382
Ho2 Ho 0.157 0.000 0.923
Tl1 Tl 0.000 0.500 0.000
Ge1 Ge 0.063 0.500 0.657
Ge2 Ge 0.193 0.500 0.239
Pd1 Pd 0.219 0.500 0.630
```

Principal peaks in the range 10° ≤ 2θ ≤ 90°, in order of rising 2θ:
2θ = 27.5°, d 3.247, rel. 18.9, (3 1 0)
2θ = 32.7°, d 2.735, rel. 100.0, (3 1 1)
2θ = 33.8°, d 2.651, rel. 25.9, (6 0 -1)
2θ = 34.1°, d 2.628, rel. 60.4, (3 1 -2)
2θ = 35.5°, d 2.526, rel. 74.9, (1 1 2)
2θ = 36.4°, d 2.467, rel. 37.7, (5 1 0)
2θ = 37.2°, d 2.418, rel. 21.3, (6 0 -2)
2θ = 39.3°, d 2.290, rel. 23.0, (4 0 -3)
2θ = 41.7°, d 2.168, rel. 21.8, (6 0 1)
2θ = 42.7°, d 2.117, rel. 46.1, (0 2 0)
2θ = 59.5°, d 1.554, rel. 22.3, (4 2 -3)
2θ = 71.9°, d 1.313, rel. 18.3, (3 3 1)

***

# 12
Starting from a PBE-relaxed structure, the powder diffractogram of HoTmGe2Pd was calculated for Cu Kα X-rays.
Neutral-atom scattering factors, no anomalous dispersion.

Cell and atoms:
```
data_HoTmGe2Pd
_chemical_formula_sum 'Ho4 Tm4 Ge8 Pd4'
_symmetry_space_group_name_H-M 'C 1 2/m 1'
_symmetry_Int_Tables_number 12
_cell_length_a 10.567
_cell_length_b 4.304
_cell_length_c 10.185
_cell_angle_alpha 90.00
_cell_angle_beta 117.38
_cell_angle_gamma 90.00
loop_
_symmetry_equiv_pos_as_xyz
'x,y,z'
'-x,-y,-z'
'-x,y,-z'
'x,-y,z'
'x+1/2,y+1/2,z'
'-x+1/2,-y+1/2,-z'
'-x+1/2,y+1/2,-z'
'x+1/2,-y+1/2,z'
loop_
_atom_site_label
_atom_site_type_symbol
_atom_site_fract_x
_atom_site_fract_y
_atom_site_fract_z
Ho1 Ho 0.184 0.000 0.107
Tm1 Tm 0.006 0.000 0.328
Ge1 Ge 0.027 0.500 0.883
Ge2 Ge 0.137 0.500 0.571
Pd1 Pd 0.223 0.500 0.356
```

Principal peaks in the range 10° ≤ 2θ ≤ 90°, in order of rising 2θ:
2θ = 33.0°, d 2.713, rel. 100.0, (1 1 2)
2θ = 33.5°, d 2.672, rel. 39.7, (3 1 -2)
2θ = 33.9°, d 2.646, rel. 63.8, (1 1 -3)
2θ = 34.0°, d 2.636, rel. 30.9, (4 0 -2)
2θ = 36.9°, d 2.435, rel. 60.6, (3 1 -3)
2θ = 39.9°, d 2.261, rel. 28.8, (0 0 4)
2θ = 40.4°, d 2.231, rel. 68.1, (3 1 1)
2θ = 42.0°, d 2.152, rel. 55.4, (0 2 0)
2θ = 55.1°, d 1.667, rel. 15.7, (4 2 -2)
2θ = 59.3°, d 1.559, rel. 17.9, (0 2 4)
2θ = 65.5°, d 1.424, rel. 20.8, (7 1 -3)
2θ = 78.8°, d 1.214, rel. 14.3, (7 1 -7)